The following is a theoretical X-ray powder pattern of Na2ZrCoP4O14. It was derived from a GGA+U-relaxed structure, using Cu Kα, 1.54184 Å.
Intensities are scaled so that the largest is 100.

Cell and atoms:
```
Na2ZrCoP4O14
1.0
6.611 0.000 0.000
0.929 6.560 0.000
2.863 0.168 6.438
Na Zr Co P O
2 1 1 4 14
direct
0.000 0.000 0.000
0.386 0.302 0.713
0.603 0.530 0.089
0.789 0.851 0.629
0.037 0.569 0.231
0.331 0.809 0.532
0.457 0.046 0.122
0.896 0.321 0.638
0.045 0.406 0.408
0.055 0.244 0.736
0.088 0.794 0.674
0.284 0.566 0.079
0.295 0.117 0.027
0.324 0.986 0.360
0.443 0.612 0.402
0.469 0.870 0.640
0.599 0.214 0.125
0.624 0.854 0.018
0.735 0.515 0.753
0.757 0.168 0.613
0.904 0.492 0.122
0.935 0.778 0.321
```

Most intense lines, 2θ = 5–70°, by angle:
2theta	d/Å	I/Imax	hkl
13.50	6.558	35	0 1 0
14.77	5.999	34	1 0 0
15.65	5.662	100	1 0 1
19.57	4.536	70	0 1 -1
27.32	3.264	78	2 0 1
27.71	3.219	93	0 0 2
28.31	3.152	45	-1 1 1
28.77	3.103	76	2 1 1
30.27	2.953	91	0 2 1
30.93	2.892	92	0 2 -1